Diffraction record for CdAg2Sn2. The powder X-ray diffraction pattern is simulated, not measured: it uses a crystal structure in Alexandria, relaxed with PBE and Cu Kα (weighted mean of Kα1 and Kα2).
Lines closer than 0.1° are merged.

Structure:
Unit cell a=9.1942 b=4.5977 c=5.9113 alpha=90.00 beta=103.26 gamma=90.00
Space group C2/m (No. 12)
Symmetry-distinct sites (fractional):
Cd1 0.0000 0.0000 0.0000 x2
Ag1 0.1991 0.5000 0.1173 x4
Sn1 0.1634 0.5000 0.6024 x4

Most intense lines, 10 to 90 degrees two-theta, by angle:
| two_theta | I/Imax | index |
| --- | --- | --- |
| 19.84 | 24 | 2 0 0 |
| 28.06 | 22 | 1 1 1 |
| 32.93 | 35 | 2 0 -2 |
| 35.89 | 100 | 3 1 0 |
| 36.25 | 46 | 1 1 -2 |
| 39.19 | 45 | 0 2 0 |
| 40.17 | 58 | 1 1 2 |
| 43.10 | 20 | 3 1 -2 |